(1)
KLiGd2Mo4O16: calculated X-ray diffraction stick pattern (Cu Kα (weighted mean of Kα1 and Kα2)), based on a cell relaxed with GGA+U.
Neutral-atom scattering factors, no anomalous dispersion.

Structural model:
abc: 5.312 12.872 19.652
angles: 90.00 93.04 90.00
Space group C2/c (No. 15)
Inequivalent atoms, fractional coordinates:
K (0.000, 0.031, 0.250)
Li (0.000, 0.314, 0.250)
Gd (0.001, 0.146, 0.467)
Mo (0.010, 0.257, 0.649)
Mo (0.019, 0.438, 0.092)
O (0.107, 0.408, 0.329)
O (0.128, 0.140, 0.826)
O (0.161, 0.331, 0.043)
O (0.174, 0.240, 0.567)
O (0.232, 0.296, 0.714)
O (0.233, 0.455, 0.602)
O (0.244, 0.019, 0.538)
O (0.247, 0.349, 0.867)

The 10 most intense peaks (2θ = 15–90°), by angle:
hkl, two_theta, I (rel.)
1 1 -4, 25.03, 53
1 1 4, 26.32, 57
1 3 0, 26.72, 48
1 3 -1, 26.96, 47
1 3 1, 27.27, 64
1 3 -2, 27.96, 53
1 1 -5, 28.42, 100
1 3 2, 28.55, 45
1 1 5, 29.85, 75
2 0 0, 33.80, 50



(2)
K2Gd2MgMo4O16: calculated X-ray diffraction stick pattern (Cu Kα (weighted mean of Kα1 and Kα2)), based on a cell relaxed with GGA+U.
Neutral-atom scattering factors, no anomalous dispersion.

Structural model:
abc: 7.510 7.513 8.009
angles: 86.95 62.42 61.64
Space group P1 (No. 1)
Inequivalent atoms, fractional coordinates:
K (0.000, 0.000, 0.000)
K (0.398, 0.500, 0.734)
Gd (0.448, 0.017, 0.080)
Gd (0.922, 0.516, 0.666)
Mg (0.561, 0.256, 0.352)
Mo (0.370, 0.583, 0.178)
Mo (0.476, 0.959, 0.564)
Mo (0.879, 0.554, 0.195)
Mo (0.974, 0.970, 0.561)
O (0.072, 0.301, 0.208)
O (0.113, 0.636, 0.128)
O (0.156, 0.631, 0.454)
O (0.194, 0.913, 0.287)
O (0.229, 0.889, 0.615)
O (0.287, 0.241, 0.539)
O (0.384, 0.018, 0.817)
O (0.505, 0.280, 0.126)
O (0.540, 0.646, 0.955)
O (0.628, 0.485, 0.263)
O (0.631, 0.874, 0.260)
O (0.726, 0.054, 0.484)
O (0.728, 0.652, 0.493)
O (0.812, 0.890, 0.778)
O (0.856, 0.240, 0.650)
O (0.954, 0.525, 0.943)

The 10 most intense peaks (2θ = 15–90°), by angle:
hkl, two_theta, I (rel.)
0 0 2, 25.69, 69
0 1 -2, 26.45, 32
2 1 2, 27.16, 29
0 2 0, 27.62, 100
2 0 2, 28.89, 83
2 2 0, 29.31, 88
2 0 0, 31.22, 53
0 1 2, 31.79, 36
2 2 2, 32.12, 41
0 2 -2, 33.64, 32



(3)
K2Gd2MgMo4O16: calculated X-ray diffraction stick pattern (Cu Kα (weighted mean of Kα1 and Kα2)), based on a cell relaxed with GGA+U.
Neutral-atom scattering factors, no anomalous dispersion.

Structural model:
abc: 7.519 7.652 8.118
angles: 113.01 94.53 117.32
Space group P1 (No. 1)
Inequivalent atoms, fractional coordinates:
K (0.000, 0.000, 0.000)
K (0.145, 0.521, 0.638)
Gd (0.545, 0.465, 0.962)
Gd (0.600, 0.042, 0.643)
Mg (0.425, 0.694, 0.255)
Mo (0.001, 0.506, 0.125)
Mo (0.094, 0.977, 0.472)
Mo (0.514, 0.024, 0.110)
Mo (0.619, 0.478, 0.476)
O (0.206, 0.432, 0.026)
O (0.215, 0.179, 0.396)
O (0.238, 0.777, 0.374)
O (0.239, 0.832, 0.044)
O (0.314, 0.109, 0.693)
O (0.517, 0.318, 0.181)
O (0.526, 0.663, 0.460)
O (0.540, 0.956, 0.861)
O (0.581, 0.519, 0.703)
O (0.605, 0.819, 0.119)
O (0.609, 0.193, 0.409)
O (0.805, 0.389, 0.880)
O (0.878, 0.292, 0.188)
O (0.895, 0.717, 0.219)
O (0.896, 0.667, 0.546)
O (0.918, 0.053, 0.571)

The 10 most intense peaks (2θ = 15–90°), by angle:
hkl, two_theta, I (rel.)
0 0 2, 25.12, 32
1 1 -2, 26.29, 87
2 0 0, 28.13, 100
0 2 -2, 28.38, 66
0 2 0, 30.01, 48
-1 1 2, 31.24, 40
1 1 2, 43.88, 24
1 1 -4, 45.55, 17
2 -4 2, 47.93, 17
1 -3 4, 49.44, 18



(4)
K2Gd2MgMo4O16: calculated X-ray diffraction stick pattern (Cu Kα (weighted mean of Kα1 and Kα2)), based on a cell relaxed with GGA+U.
Neutral-atom scattering factors, no anomalous dispersion.

Structural model:
abc: 7.508 7.676 7.802
angles: 91.93 117.64 117.14
Space group P1 (No. 1)
Inequivalent atoms, fractional coordinates:
K (0.000, 0.000, 0.000)
K (0.489, 0.517, 0.490)
Gd (0.499, 0.026, 0.961)
Gd (0.988, 0.547, 0.454)
Mg (0.541, 0.772, 0.246)
Mo (0.031, 0.078, 0.509)
Mo (0.458, 0.472, 0.936)
Mo (0.527, 0.063, 0.516)
Mo (0.963, 0.497, 0.928)
O (0.079, 0.570, 0.198)
O (0.118, 0.706, 0.844)
O (0.225, 0.416, 0.652)
O (0.243, 0.131, 0.796)
O (0.263, 0.465, 0.048)
O (0.291, 0.131, 0.455)
O (0.372, 0.854, 0.607)
O (0.418, 0.970, 0.243)
O (0.579, 0.763, 0.005)
O (0.621, 0.380, 0.137)
O (0.718, 0.542, 0.863)
O (0.744, 0.968, 0.554)
O (0.751, 0.199, 0.853)
O (0.763, 0.346, 0.581)
O (0.867, 0.148, 0.290)
O (0.871, 0.781, 0.407)

The 10 most intense peaks (2θ = 15–90°), by angle:
hkl, two_theta, I (rel.)
0 0 2, 27.15, 100
0 2 0, 27.48, 97
2 0 -2, 28.56, 98
2 -2 0, 28.86, 94
2 0 0, 31.80, 60
0 2 -2, 32.18, 49
-2 2 2, 33.41, 45
2 2 -2, 45.87, 58
2 0 -4, 46.67, 29
-4 2 2, 48.56, 28



(5)
K2RbGdV2O8: calculated X-ray diffraction stick pattern (Cu Kα (weighted mean of Kα1 and Kα2)), based on a cell relaxed with GGA+U.
Neutral-atom scattering factors, no anomalous dispersion.

Structural model:
abc: 6.0687 6.0687 7.8527
angles: 90.00 90.00 120.00
Space group P-3m1 (No. 164)
Inequivalent atoms, fractional coordinates:
K (0.3333, 0.6667, 0.2002)
Rb (0.0000, 0.0000, 0.5000)
Gd (0.0000, 0.0000, 0.0000)
V (0.3333, 0.6667, 0.7482)
O (0.1756, 0.3513, 0.8259)
O (0.3333, 0.6667, 0.5335)

The 10 most intense peaks (2θ = 15–90°), by angle:
hkl, two_theta, I (rel.)
1 0 0, 16.87, 36
1 0 1, 20.33, 23
0 1 2, 28.37, 100
1 1 0, 29.44, 89
2 0 2, 41.34, 49
1 2 2, 51.56, 35
3 0 0, 52.21, 17
1 1 4, 55.77, 24
2 2 0, 61.08, 16
3 1 2, 68.69, 16



(6)
KGdV4O12: calculated X-ray diffraction stick pattern (Cu Kα (weighted mean of Kα1 and Kα2)), based on a cell relaxed with GGA+U.
Neutral-atom scattering factors, no anomalous dispersion.

Structural model:
abc: 7.261 7.032 10.076
angles: 90.00 90.00 90.00
Space group Amm2 (No. 38)
Inequivalent atoms, fractional coordinates:
K (0.000, 0.000, 0.000)
Gd (0.500, 0.000, 0.471)
V (0.254, 0.247, 0.749)
O (0.000, 0.237, 0.759)
O (0.237, 0.000, 0.318)
O (0.266, 0.000, 0.805)
O (0.293, 0.240, 0.586)
O (0.500, 0.228, 0.315)

The 10 most intense peaks (2θ = 15–90°), by angle:
hkl, two_theta, I (rel.)
0 1 1, 15.37, 32
1 1 1, 19.66, 100
1 0 2, 21.47, 18
2 0 2, 30.34, 58
0 2 2, 31.02, 63
1 1 3, 32.00, 28
0 0 4, 35.58, 48
1 3 1, 41.44, 17
2 2 4, 51.22, 22
4 2 2, 60.24, 18



(7)
KGdW2O8: calculated X-ray diffraction stick pattern (Cu Kα (weighted mean of Kα1 and Kα2)), based on a cell relaxed with GGA+U.
Neutral-atom scattering factors, no anomalous dispersion.

Structural model:
abc: 8.536 10.301 7.600
angles: 90.00 90.20 90.00
Space group C2/c (No. 15)
Inequivalent atoms, fractional coordinates:
K (0.000, 0.182, 0.250)
Gd (0.000, 0.246, 0.750)
W (0.192, 0.499, 0.498)
O (0.002, 0.380, 0.022)
O (0.168, 0.124, 0.934)
O (0.177, 0.131, 0.573)
O (0.180, 0.435, 0.749)

The 10 most intense peaks (2θ = 15–90°), by angle:
hkl, two_theta, I (rel.)
0 2 0, 17.22, 24
1 1 1, 17.84, 35
2 2 0, 27.13, 100
0 2 2, 29.20, 87
2 0 -2, 31.47, 26
2 0 2, 31.58, 24
3 1 0, 32.65, 22
0 4 0, 34.84, 17
0 0 4, 47.87, 29
0 4 4, 60.56, 22



(8)
KGdW2O8: calculated X-ray diffraction stick pattern (Cu Kα (weighted mean of Kα1 and Kα2)), based on a cell relaxed with GGA+U.
Neutral-atom scattering factors, no anomalous dispersion.

Structural model:
abc: 10.992 10.724 7.494
angles: 90.00 130.39 90.00
Space group C2/c (No. 15)
Inequivalent atoms, fractional coordinates:
K (0.000, 0.208, 0.250)
Gd (0.000, 0.225, 0.750)
W (0.196, 0.495, 0.719)
O (0.019, 0.390, 0.969)
O (0.132, 0.089, 0.686)
O (0.189, 0.435, 0.444)
O (0.216, 0.155, 0.127)

The 10 most intense peaks (2θ = 15–90°), by angle:
hkl, two_theta, I (rel.)
0 2 0, 16.53, 32
2 2 0, 27.02, 98
3 1 -2, 27.81, 24
2 2 -2, 29.09, 100
0 0 2, 31.34, 38
3 1 0, 33.17, 26
0 4 0, 33.42, 24
0 4 2, 46.47, 25
4 0 -4, 48.70, 30
2 2 -4, 55.58, 29



(9)
LiGdMo2O8: calculated X-ray diffraction stick pattern (Cu Kα (weighted mean of Kα1 and Kα2)), based on a cell relaxed with GGA+U.
Neutral-atom scattering factors, no anomalous dispersion.

Structural model:
abc: 5.083 5.947 11.086
angles: 90.00 113.30 90.00
Space group P2/c (No. 13)
Inequivalent atoms, fractional coordinates:
Li (0.000, 0.205, 0.250)
Gd (0.500, 0.208, 0.750)
Mo (0.266, 0.318, 0.021)
O (0.146, 0.396, 0.594)
O (0.224, 0.123, 0.136)
O (0.279, 0.136, 0.892)
O (0.361, 0.409, 0.386)

The 10 most intense peaks (2θ = 15–90°), by angle:
hkl, two_theta, I (rel.)
0 1 1, 17.27, 41
1 0 0, 19.01, 35
1 0 -2, 20.09, 35
0 1 2, 23.00, 31
1 1 1, 28.29, 100
1 1 -3, 29.77, 83
0 2 0, 30.05, 24
0 1 3, 30.32, 30
0 2 4, 46.97, 23
0 3 2, 49.34, 25



(10)
LiGdW2O8: calculated X-ray diffraction stick pattern (Cu Kα (weighted mean of Kα1 and Kα2)), based on a cell relaxed with GGA+U.
Neutral-atom scattering factors, no anomalous dispersion.

Structural model:
abc: 5.261 5.261 11.271
angles: 90.00 90.00 90.00
Space group I-4 (No. 82)
Inequivalent atoms, fractional coordinates:
Li (0.000, 0.000, 0.000)
Gd (0.000, 0.500, 0.250)
W (0.000, 0.000, 0.500)
W (0.000, 0.500, 0.750)
O (0.157, 0.244, 0.410)
O (0.162, 0.746, 0.836)

The 10 most intense peaks (2θ = 15–90°), by angle:
hkl, two_theta, I (rel.)
1 0 1, 18.61, 37
1 1 2, 28.76, 100
1 0 3, 29.21, 13
0 0 4, 31.76, 14
2 0 0, 34.08, 21
2 0 4, 47.27, 31
2 2 0, 48.97, 14
1 1 6, 54.74, 17
1 3 2, 57.79, 28
3 1 6, 76.48, 13